Diffraction record for Nd3WN4. The X-ray diffraction stick pattern is theoretical, not measured: it uses DFT lattice parameters and positions (PBE) and Cu Kα, 1.54184 Å.

Cell and atoms:
```
data_Nd3WN4
_chemical_formula_sum 'Nd6 W2 N8'
_space_group_name_H-M_alt 'P m n 21'
_space_group_IT_number 31
_cell_length_a 7.8406
_cell_length_b 6.9571
_cell_length_c 5.3104
_cell_angle_alpha 90.00
_cell_angle_beta 90.00
_cell_angle_gamma 90.00
loop_
_space_group_symop_operation_xyz
'x,y,z'
'-x+1/2,-y,z+1/2'
'-x,y,z'
'x+1/2,-y,z+1/2'
loop_
_atom_site_label
_atom_site_type_symbol
_atom_site_fract_x
_atom_site_fract_y
_atom_site_fract_z
Nd1 Nd 0.0000 0.1537 0.0000
Nd2 Nd 0.2427 0.3427 0.5071
W1 W 0.0000 0.8284 0.4430
N1 N 0.0000 0.1079 0.4947
N2 N 0.0000 0.8257 0.0841
N3 N 0.2146 0.7016 0.5050
```

Principal peaks in the range 10° ≤ 2θ ≤ 90°, sorted by position:
hkl, 2θ/deg, I/Imax
2 1 0, 26.1, 44.9
0 2 1, 30.7, 60.2
2 1 1, 31.1, 100.0
0 0 2, 33.8, 35.8
2 3 0, 45.4, 33.1
4 2 1, 56.6, 22.4
2 3 2, 57.8, 27.6
4 0 2, 58.5, 21.9


Diffraction record for Na2Bi3Pd3. The X-ray diffraction stick pattern is theoretical, not measured: it uses DFT lattice parameters and positions (PBE) and Cu Kα, 1.54184 Å.

Cell and atoms:
```
data_Na2Bi3Pd3
_chemical_formula_sum 'Na2 Bi3 Pd3'
_space_group_name_H-M_alt 'P -6 2 m'
_space_group_IT_number 189
_space_group_name_Hall 'P -6 -2'
_cell_length_a 8.1108
_cell_length_b 8.1108
_cell_length_c 3.2685
_cell_angle_alpha 90.00
_cell_angle_beta 90.00
_cell_angle_gamma 120.00
loop_
_atom_site_label
_atom_site_type_symbol
_atom_site_fract_x
_atom_site_fract_y
_atom_site_fract_z
Na1 Na 0.3333 0.6667 0.0000
Bi1 Bi 0.0000 0.2598 0.0000
Pd1 Pd 0.0000 0.6743 0.5000
```

Principal peaks in the range 10° ≤ 2θ ≤ 90°, sorted by position:
hkl, 2θ/deg, I/Imax
1 0 0, 12.6, 29.2
1 1 0, 21.9, 44.7
2 0 0, 25.4, 13.5
2 1 0, 33.8, 37.7
1 1 1, 35.3, 100.0
3 0 0, 38.4, 32.7
2 1 1, 43.9, 43.8
3 2 1, 64.5, 17.7


Diffraction record for YHo5Al4. The X-ray diffraction stick pattern is theoretical, not measured: it uses DFT lattice parameters and positions (PBE) and Cu Kα, 1.54184 Å.

Cell and atoms:
```
data_YHo5Al4
_chemical_formula_sum 'Y1 Ho5 Al4'
_space_group_name_H-M_alt 'P 4/m m m'
_space_group_IT_number 123
_space_group_name_Hall '-P 4 2'
_cell_length_a 3.5621
_cell_length_b 3.5621
_cell_length_c 19.5955
_cell_angle_alpha 90.00
_cell_angle_beta 90.00
_cell_angle_gamma 90.00
loop_
_atom_site_label
_atom_site_type_symbol
_atom_site_fract_x
_atom_site_fract_y
_atom_site_fract_z
Y1 Y 0.0000 0.0000 0.0000
Ho1 Ho 0.5000 0.5000 0.1291
Ho2 Ho 0.5000 0.5000 0.3152
Ho3 Ho 0.5000 0.5000 0.5000
Al1 Al 0.0000 0.0000 0.2219
Al2 Al 0.0000 0.0000 0.4075
```

Principal peaks in the range 10° ≤ 2θ ≤ 90°, sorted by position:
hkl, 2θ/deg, I/Imax
0 0 5, 22.7, 21.0
1 0 0, 25.0, 58.5
1 0 5, 34.0, 100.0
1 1 0, 35.6, 64.6
1 0 6, 37.4, 22.7
2 0 0, 51.3, 29.7
1 0 11, 57.9, 29.8
2 1 5, 63.0, 33.5